1.
Structure and calculated X-ray diffraction stick pattern of Ce2NiSn2Pt (a structure optimized by DFT (PBE); a wavelength of 1.5418 Å).
Intensities are scaled so that the largest is 100.

Atomic structure:
```
data_Ce2NiSn2Pt
_chemical_formula_sum 'Ce4 Ni2 Sn4 Pt2'
_symmetry_space_group_name_H-M 'P 1'
_symmetry_Int_Tables_number 1
_symmetry_space_group_name_Hall 'P 1'
_cell_length_a 4.577
_cell_length_b 7.916
_cell_length_c 7.381
_cell_angle_alpha 90.00
_cell_angle_beta 90.00
_cell_angle_gamma 90.00
loop_
_atom_site_label
_atom_site_fract_x
_atom_site_fract_y
_atom_site_fract_z
_atom_site_occupancy
Ce1 0.000 0.053 0.000 1
Ce2 0.000 0.947 0.500 1
Ce3 0.500 0.445 0.029 1
Ce4 0.500 0.555 0.529 1
Ni1 0.500 0.162 0.309 1
Ni2 0.500 0.838 0.809 1
Sn1 0.000 0.325 0.333 1
Sn2 0.000 0.675 0.833 1
Sn3 0.500 0.154 0.692 1
Sn4 0.500 0.846 0.192 1
Pt1 0.000 0.340 0.734 1
Pt2 0.000 0.660 0.234 1
```

Main lines, low angle first (2θ from 10° to 80°):
Position (°2θ)	intensity
16.42	10.2
32.27	42.9
33.18	100.0
38.31	21.8
39.40	77.6
52.43	18.4
56.10	14.6
63.68	17.8
67.49	14.0
71.22	10.8

2.
Structure and calculated X-ray diffraction stick pattern of NaNbAlP3O12 (a structure optimized by DFT (PBE); a wavelength of 1.5418 Å).
Intensities are scaled so that the largest is 100.

Atomic structure:
```
data_NaNbAlP3O12
_chemical_formula_sum 'Na2 Nb2 Al2 P6 O24'
_symmetry_space_group_name_H-M 'P 1'
_symmetry_Int_Tables_number 1
_symmetry_space_group_name_Hall 'P 1'
_cell_length_a 8.931
_cell_length_b 8.931
_cell_length_c 8.931
_cell_angle_alpha 57.45
_cell_angle_beta 57.45
_cell_angle_gamma 57.45
loop_
_atom_site_label
_atom_site_fract_x
_atom_site_fract_y
_atom_site_fract_z
_atom_site_occupancy
Na1 0.000 0.000 0.000 1
Na2 0.500 0.500 0.500 1
Nb1 0.150 0.150 0.150 1
Nb2 0.650 0.650 0.650 1
Al1 0.360 0.360 0.360 1
Al2 0.860 0.860 0.860 1
P1 0.051 0.481 0.744 1
P2 0.244 0.981 0.551 1
P3 0.481 0.744 0.051 1
P4 0.551 0.244 0.981 1
P5 0.744 0.051 0.481 1
P6 0.981 0.551 0.244 1
O1 0.003 0.375 0.224 1
O2 0.015 0.648 0.779 1
O3 0.072 0.294 0.923 1
O4 0.072 0.948 0.727 1
O5 0.148 0.515 0.279 1
O6 0.224 0.003 0.375 1
O7 0.227 0.448 0.572 1
O8 0.279 0.148 0.515 1
O9 0.294 0.923 0.072 1
O10 0.375 0.224 0.003 1
O11 0.423 0.794 0.572 1
O12 0.448 0.572 0.227 1
O13 0.503 0.724 0.875 1
O14 0.515 0.279 0.148 1
O15 0.572 0.227 0.448 1
O16 0.572 0.423 0.794 1
O17 0.648 0.779 0.015 1
O18 0.724 0.875 0.503 1
O19 0.727 0.072 0.948 1
O20 0.779 0.015 0.648 1
O21 0.794 0.572 0.423 1
O22 0.875 0.503 0.724 1
O23 0.923 0.072 0.294 1
O24 0.948 0.727 0.072 1
```

Main lines, low angle first (2θ from 10° to 80°):
Position (°2θ)	intensity
14.32	49.3
19.91	45.8
20.69	54.8
23.94	100.0
28.87	37.4
31.86	62.5
36.25	21.2
45.87	18.8
49.02	24.6
56.75	18.9

3.
Structure and calculated X-ray diffraction stick pattern of Rb2U3Te2O14 (a structure optimized by DFT (PBE); a wavelength of 1.5418 Å).
Intensities are scaled so that the largest is 100.

Atomic structure:
```
data_Rb2U3Te2O14
_chemical_formula_sum 'Rb2 U3 Te2 O14'
_symmetry_space_group_name_H-M 'P 1'
_symmetry_Int_Tables_number 1
_symmetry_space_group_name_Hall 'P 1'
_cell_length_a 7.039
_cell_length_b 7.371
_cell_length_c 8.393
_cell_angle_alpha 108.19
_cell_angle_beta 101.14
_cell_angle_gamma 98.33
loop_
_atom_site_label
_atom_site_fract_x
_atom_site_fract_y
_atom_site_fract_z
_atom_site_occupancy
Rb1 0.203 0.385 0.335 1
Rb2 0.797 0.615 0.665 1
U1 0.102 0.171 0.735 1
U2 0.500 0.000 0.500 1
U3 0.898 0.829 0.265 1
Te1 0.342 0.676 0.019 1
Te2 0.658 0.324 0.981 1
O1 0.106 0.391 0.669 1
O2 0.118 0.969 0.817 1
O3 0.137 0.741 0.127 1
O4 0.180 0.006 0.475 1
O5 0.307 0.412 0.013 1
O6 0.465 0.207 0.762 1
O7 0.466 0.786 0.571 1
O8 0.534 0.214 0.429 1
O9 0.535 0.793 0.238 1
O10 0.693 0.588 0.987 1
O11 0.820 0.994 0.525 1
O12 0.863 0.259 0.873 1
O13 0.882 0.031 0.183 1
O14 0.894 0.609 0.331 1
```

Main lines, low angle first (2θ from 10° to 80°):
Position (°2θ)	intensity
13.99	100.0
23.50	35.3
24.53	37.1
26.04	22.9
26.81	49.2
27.18	51.6
27.35	21.9
29.42	39.2
31.28	25.9
44.78	22.6

4.
Structure and calculated X-ray diffraction stick pattern of LiCr2S4 (a structure optimized by DFT (PBE); a wavelength of 1.5418 Å).
Intensities are scaled so that the largest is 100.

Atomic structure:
```
data_LiCr2S4
_chemical_formula_sum 'Li4 Cr8 S16'
_symmetry_space_group_name_H-M 'P 1'
_symmetry_Int_Tables_number 1
_symmetry_space_group_name_Hall 'P 1'
_cell_length_a 6.876
_cell_length_b 12.798
_cell_length_c 5.894
_cell_angle_alpha 90.00
_cell_angle_beta 90.00
_cell_angle_gamma 90.00
loop_
_atom_site_label
_atom_site_fract_x
_atom_site_fract_y
_atom_site_fract_z
_atom_site_occupancy
Li1 0.250 0.250 0.024 1
Li2 0.250 0.750 0.339 1
Li3 0.750 0.250 0.661 1
Li4 0.750 0.750 0.976 1
Cr1 0.000 0.000 0.500 1
Cr2 0.000 0.500 0.500 1
Cr3 0.250 0.502 0.989 1
Cr4 0.250 0.998 0.989 1
Cr5 0.500 0.000 0.500 1
Cr6 0.500 0.500 0.500 1
Cr7 0.750 0.002 0.011 1
Cr8 0.750 0.498 0.011 1
S1 0.002 0.605 0.163 1
S2 0.002 0.895 0.163 1
S3 0.250 0.102 0.332 1
S4 0.250 0.398 0.332 1
S5 0.250 0.605 0.659 1
S6 0.250 0.895 0.659 1
S7 0.498 0.605 0.163 1
S8 0.498 0.895 0.163 1
S9 0.502 0.105 0.837 1
S10 0.502 0.395 0.837 1
S11 0.750 0.105 0.341 1
S12 0.750 0.395 0.341 1
S13 0.750 0.602 0.668 1
S14 0.750 0.898 0.668 1
S15 0.998 0.105 0.837 1
S16 0.998 0.395 0.837 1
```

Main lines, low angle first (2θ from 10° to 80°):
Position (°2θ)	intensity
13.84	100.0
30.91	13.2
33.26	18.6
33.48	9.4
36.88	19.1
37.08	10.2
41.49	33.9
41.67	15.4
52.84	12.9
53.74	15.2

5.
Structure and calculated X-ray diffraction stick pattern of Cu9As4 (a structure optimized by DFT (PBE); a wavelength of 1.5418 Å).
Intensities are scaled so that the largest is 100.

Atomic structure:
```
data_Cu9As4
_chemical_formula_sum 'Cu36 As16'
_symmetry_space_group_name_H-M 'P 1'
_symmetry_Int_Tables_number 1
_symmetry_space_group_name_Hall 'P 1'
_cell_length_a 8.991
_cell_length_b 8.991
_cell_length_c 8.991
_cell_angle_alpha 90.00
_cell_angle_beta 90.00
_cell_angle_gamma 90.00
loop_
_atom_site_label
_atom_site_fract_x
_atom_site_fract_y
_atom_site_fract_z
_atom_site_occupancy
Cu1 0.000 0.000 0.353 1
Cu2 0.000 0.000 0.647 1
Cu3 0.000 0.353 0.000 1
Cu4 0.000 0.647 0.000 1
Cu5 0.102 0.102 0.102 1
Cu6 0.102 0.898 0.898 1
Cu7 0.144 0.500 0.500 1
Cu8 0.171 0.171 0.829 1
Cu9 0.171 0.829 0.171 1
Cu10 0.180 0.180 0.528 1
Cu11 0.180 0.472 0.820 1
Cu12 0.180 0.528 0.180 1
Cu13 0.180 0.820 0.472 1
Cu14 0.330 0.330 0.330 1
Cu15 0.330 0.670 0.670 1
Cu16 0.353 0.000 0.000 1
Cu17 0.472 0.180 0.820 1
Cu18 0.472 0.820 0.180 1
Cu19 0.500 0.144 0.500 1
Cu20 0.500 0.500 0.144 1
Cu21 0.500 0.500 0.856 1
Cu22 0.500 0.856 0.500 1
Cu23 0.528 0.180 0.180 1
Cu24 0.528 0.820 0.820 1
Cu25 0.647 0.000 0.000 1
Cu26 0.670 0.330 0.670 1
Cu27 0.670 0.670 0.330 1
Cu28 0.820 0.180 0.472 1
Cu29 0.820 0.472 0.180 1
Cu30 0.820 0.528 0.820 1
Cu31 0.820 0.820 0.528 1
Cu32 0.829 0.171 0.171 1
Cu33 0.829 0.829 0.829 1
Cu34 0.856 0.500 0.500 1
Cu35 0.898 0.102 0.898 1
Cu36 0.898 0.898 0.102 1
As1 0.033 0.306 0.306 1
As2 0.033 0.694 0.694 1
As3 0.306 0.033 0.306 1
As4 0.306 0.306 0.033 1
As5 0.306 0.694 0.967 1
As6 0.306 0.967 0.694 1
As7 0.373 0.373 0.627 1
As8 0.373 0.627 0.373 1
As9 0.627 0.373 0.373 1
As10 0.627 0.627 0.627 1
As11 0.694 0.033 0.694 1
As12 0.694 0.306 0.967 1
As13 0.694 0.694 0.033 1
As14 0.694 0.967 0.306 1
As15 0.967 0.306 0.694 1
As16 0.967 0.694 0.306 1
```

Main lines, low angle first (2θ from 10° to 80°):
Position (°2θ)	intensity
34.56	5.8
37.43	4.3
42.67	100.0
47.43	4.0
51.85	2.7
61.93	9.7
71.12	2.8
72.89	4.3
74.65	2.3
78.12	20.0

6.
Structure and calculated X-ray diffraction stick pattern of YLuCu2 (a structure optimized by DFT (PBE); a wavelength of 1.5418 Å).
Intensities are scaled so that the largest is 100.

Atomic structure:
```
data_YLuCu2
_chemical_formula_sum 'Y1 Lu1 Cu2'
_symmetry_space_group_name_H-M 'P 1'
_symmetry_Int_Tables_number 1
_symmetry_space_group_name_Hall 'P 1'
_cell_length_a 4.855
_cell_length_b 4.855
_cell_length_c 4.855
_cell_angle_alpha 60.00
_cell_angle_beta 60.00
_cell_angle_gamma 60.00
loop_
_atom_site_label
_atom_site_fract_x
_atom_site_fract_y
_atom_site_fract_z
_atom_site_occupancy
Y1 0.000 0.000 0.000 1
Lu1 0.500 0.500 0.500 1
Cu1 0.250 0.250 0.250 1
Cu2 0.750 0.750 0.750 1
```

Main lines, low angle first (2θ from 10° to 80°):
Position (°2θ)	intensity
22.43	9.6
25.96	12.1
37.04	100.0
43.73	5.4
45.78	3.6
53.38	17.1
58.61	2.4
60.29	5.1
66.75	34.0
78.87	10.4

7.
Structure and calculated X-ray diffraction stick pattern of Zr3Se2 (a structure optimized by DFT (PBE); a wavelength of 1.5418 Å).
Intensities are scaled so that the largest is 100.

Atomic structure:
```
data_Zr3Se2
_chemical_formula_sum 'Zr3 Se2'
_symmetry_space_group_name_H-M 'P 1'
_symmetry_Int_Tables_number 1
_symmetry_space_group_name_Hall 'P 1'
_cell_length_a 3.433
_cell_length_b 3.433
_cell_length_c 10.677
_cell_angle_alpha 90.00
_cell_angle_beta 90.00
_cell_angle_gamma 120.00
loop_
_atom_site_label
_atom_site_fract_x
_atom_site_fract_y
_atom_site_fract_z
_atom_site_occupancy
Zr1 0.000 0.000 0.000 1
Zr2 0.000 0.000 0.353 1
Zr3 0.000 0.000 0.647 1
Se1 0.667 0.333 0.178 1
Se2 0.667 0.333 0.822 1
```

Main lines, low angle first (2θ from 10° to 80°):
Position (°2θ)	intensity
30.06	45.9
31.23	9.3
34.53	16.5
39.50	100.0
51.34	7.9
53.38	28.7
60.65	8.4
68.40	19.0
77.23	13.8
78.57	7.1

8.
Structure and calculated X-ray diffraction stick pattern of Ba2YZrO6 (a structure optimized by DFT (PBE); a wavelength of 1.5418 Å).
Intensities are scaled so that the largest is 100.

Atomic structure:
```
data_Ba2YZrO6
_chemical_formula_sum 'Ba2 Y1 Zr1 O6'
_symmetry_space_group_name_H-M 'P 1'
_symmetry_Int_Tables_number 1
_symmetry_space_group_name_Hall 'P 1'
_cell_length_a 6.166
_cell_length_b 6.166
_cell_length_c 6.166
_cell_angle_alpha 60.00
_cell_angle_beta 60.00
_cell_angle_gamma 60.00
loop_
_atom_site_label
_atom_site_fract_x
_atom_site_fract_y
_atom_site_fract_z
_atom_site_occupancy
Ba1 0.250 0.250 0.250 1
Ba2 0.750 0.750 0.750 1
Y1 0.000 0.000 0.000 1
Zr1 0.500 0.500 0.500 1
O1 0.258 0.258 0.742 1
O2 0.258 0.742 0.258 1
O3 0.258 0.742 0.742 1
O4 0.742 0.258 0.258 1
O5 0.742 0.258 0.742 1
O6 0.742 0.742 0.258 1
```

Main lines, low angle first (2θ from 10° to 80°):
Position (°2θ)	intensity
20.37	1.1
28.96	100.0
35.67	7.1
41.42	32.2
46.58	0.8
51.33	40.5
60.02	20.0
68.00	17.8
71.81	2.1
75.55	6.5

9.
Structure and calculated X-ray diffraction stick pattern of Nd2AgRu (a structure optimized by DFT (PBE); a wavelength of 1.5418 Å).
Intensities are scaled so that the largest is 100.

Atomic structure:
```
data_Nd2AgRu
_chemical_formula_sum 'Nd2 Ag1 Ru1'
_symmetry_space_group_name_H-M 'P 1'
_symmetry_Int_Tables_number 1
_symmetry_space_group_name_Hall 'P 1'
_cell_length_a 5.124
_cell_length_b 5.124
_cell_length_c 5.124
_cell_angle_alpha 60.00
_cell_angle_beta 60.00
_cell_angle_gamma 60.00
loop_
_atom_site_label
_atom_site_fract_x
_atom_site_fract_y
_atom_site_fract_z
_atom_site_occupancy
Nd1 0.250 0.250 0.250 1
Nd2 0.750 0.750 0.750 1
Ag1 0.000 0.000 0.000 1
Ru1 0.500 0.500 0.500 1
```

Main lines, low angle first (2θ from 10° to 80°):
Position (°2θ)	intensity
24.57	2.5
35.02	100.0
43.25	0.8
50.37	17.6
56.81	1.2
62.82	35.7
73.99	11.0
79.32	0.6